This entry pairs a crystal structure of Ac2Zn6Pt9 with its calculated powder diffraction line list. Radiation: Cu Kα, 1.54184 Å. Structure: a cell relaxed with PBE.
Intensities are scaled so that the largest is 100.

Top 12 peaks for 2θ from 5° to 70°, most intense first:
Position (°2θ)	I/Imax
36.7	100
38.9	86
43.2	81
28.7	54
59.4	39
66.1	32
45.0	28
22.1	26
61.3	23
54.6	19
18.1	19
23.4	19

Cell and atoms:
```
Ac2Zn6Pt9
1.0
5.6554 0.0000 0.0000
-2.8277 4.8977 0.0000
0.0000 0.0000 12.0892
Ac Zn Pt
2 6 9
Direct
0.0000 0.0000 0.1955
0.0000 0.0000 0.8045
0.3333 0.6667 0.1650
0.3333 0.6667 0.5000
0.3333 0.6667 0.8350
0.6667 0.3333 0.1650
0.6667 0.3333 0.5000
0.6667 0.3333 0.8350
0.0000 0.5000 0.0000
0.0000 0.5000 0.3317
0.0000 0.5000 0.6683
0.5000 0.0000 0.0000
0.5000 0.0000 0.3317
0.5000 0.0000 0.6683
0.5000 0.5000 0.0000
0.5000 0.5000 0.3317
0.5000 0.5000 0.6683
```



This entry pairs a crystal structure of Cs2PmIrO4 with its calculated powder diffraction line list. Radiation: Cu Kα, 1.54184 Å. Structure: a cell relaxed with PBE.
Intensities are scaled so that the largest is 100.

Top 12 peaks for 2θ from 5° to 70°, most intense first:
Position (°2θ)	I/Imax
29.9	100
26.7	61
49.2	52
38.1	25
54.9	18
62.2	14
62.1	13
63.9	11
55.0	9
17.6	7
47.0	7
32.1	1

Cell and atoms:
```
Cs2PmIrO4
1.0
-3.3371 3.3371 3.8634
3.3371 -3.3371 3.8634
3.3371 3.3371 -3.8634
Cs Pm Ir O
2 1 1 4
Direct
0.0000 0.0000 0.0000
0.7500 0.2500 0.5000
0.5000 0.5000 0.0000
0.2500 0.7500 0.5000
0.1997 0.0783 0.6590
0.4193 0.5407 0.3410
0.4593 0.8003 0.8786
0.9217 0.5807 0.1214
```



This entry pairs a crystal structure of Sr3GeO5 with its calculated powder diffraction line list. Radiation: Cu Kα, 1.54184 Å. Structure: a cell relaxed with PBE.
Intensities are scaled so that the largest is 100.

Top 12 peaks for 2θ from 5° to 70°, most intense first:
Position (°2θ)	I/Imax
30.1	100
37.3	47
55.0	32
31.3	30
36.5	30
29.7	25
48.8	24
59.9	13
41.0	11
49.5	10
68.7	9
59.4	8

Cell and atoms:
```
Sr3GeO5
1.0
-3.4812 3.4812 5.7122
3.4812 -3.4812 5.7122
3.4812 3.4812 -5.7122
Sr Ge O
6 2 10
Direct
0.0000 0.0000 0.0000
0.0548 0.5548 0.1347
0.4201 0.9201 0.8653
0.5000 0.5000 0.0000
0.5548 0.4201 0.5000
0.9201 0.0548 0.5000
0.4852 0.9852 0.5000
0.9852 0.4852 0.5000
0.0279 0.5279 0.7803
0.2223 0.2223 0.0000
0.2227 0.4421 0.5000
0.2476 0.0279 0.5000
0.4421 0.9421 0.2193
0.5279 0.7476 0.5000
0.7223 0.7223 0.0000
0.7227 0.2227 0.7807
0.7476 0.2476 0.2197
0.9421 0.7227 0.5000
```



This entry pairs a crystal structure of Be3V2 with its calculated powder diffraction line list. Radiation: Cu Kα, 1.54184 Å. Structure: a cell relaxed with PBE.
Intensities are scaled so that the largest is 100.

Top 12 peaks for 2θ from 5° to 70°, most intense first:
Position (°2θ)	I/Imax
38.4	100
42.9	75
27.7	39
27.2	30
51.8	29
41.1	26
50.0	24
22.6	23
48.7	13
68.2	10
47.4	9
67.2	6

Cell and atoms:
```
Be3V2
1.0
2.1963 -3.9377 0.0000
2.1963 3.9377 0.0000
0.0000 0.0000 5.9172
Be V
6 4
Direct
0.0000 0.0000 0.0000
0.1581 0.3419 0.2500
0.3419 0.1581 0.7500
0.5000 0.5000 0.5000
0.6581 0.8419 0.2500
0.8419 0.6581 0.7500
0.1682 0.8318 0.3975
0.3318 0.6682 0.8975
0.6682 0.3318 0.1025
0.8318 0.1682 0.6025
```



This entry pairs a crystal structure of Tl6Bi3I14 with its calculated powder diffraction line list. Radiation: Cu Kα, 1.54184 Å. Structure: a cell relaxed with PBE.
Intensities are scaled so that the largest is 100.

Top 12 peaks for 2θ from 5° to 70°, most intense first:
Position (°2θ)	I/Imax
27.3	100
29.1	91
24.6	88
19.9	78
27.4	54
36.6	45
35.5	40
40.4	38
41.4	37
18.0	35
31.0	34
32.3	31

Cell and atoms:
```
Tl6Bi3I14
1.0
12.2560 0.0000 0.0000
-6.1280 10.6140 0.0000
0.0000 0.0000 8.3036
Tl Bi I
6 3 14
Direct
0.0425 0.5586 0.0000
0.3103 0.1151 0.4359
0.4414 0.4839 0.0000
0.5161 0.9575 0.0000
0.8048 0.6897 0.4359
0.8849 0.1952 0.4359
0.0000 0.0000 0.8802
0.3333 0.6667 0.4534
0.6667 0.3333 0.8093
0.0000 0.0000 0.2557
0.1093 0.8633 0.7181
0.1367 0.2460 0.7181
0.1770 0.4187 0.2502
0.2417 0.8230 0.2502
0.3333 0.6667 0.8168
0.4251 0.1895 0.0272
0.5292 0.4371 0.5971
0.5629 0.0921 0.5971
0.5813 0.7583 0.2502
0.7540 0.8907 0.7181
0.7645 0.5749 0.0272
0.8105 0.2355 0.0272
0.9079 0.4708 0.5971
```



This entry pairs a crystal structure of Y12Ho5Th2 with its calculated powder diffraction line list. Radiation: Cu Kα, 1.54184 Å. Structure: a cell relaxed with PBE.
Intensities are scaled so that the largest is 100.

Top 12 peaks for 2θ from 5° to 70°, most intense first:
Position (°2θ)	I/Imax
31.8	100
31.5	82
32.8	81
31.3	81
31.6	75
33.1	72
47.3	32
32.9	26
33.4	25
57.9	22
26.6	21
21.7	18

Cell and atoms:
```
Y12Ho5Th2
1.0
8.4027 0.0000 0.0000
-4.1719 7.6884 0.0000
-1.9697 -2.0052 9.6175
Y Ho Th
12 5 2
Direct
0.0000 0.0000 0.0000
0.0146 0.4080 0.5628
0.1197 0.7614 0.2218
0.1823 0.1589 0.3939
0.2446 0.8823 0.5983
0.2856 0.4904 0.0682
0.3861 0.6248 0.4289
0.4488 0.0455 0.0350
0.6183 0.4445 0.6440
0.6856 0.4977 0.9956
0.8373 0.9006 0.5942
0.9127 0.3050 0.1973
0.4940 0.7210 0.8126
0.5718 0.0871 0.4146
0.7082 0.8629 0.2149
0.7171 0.5198 0.3436
0.7846 0.1999 0.8180
0.0646 0.6747 0.8516
0.2343 0.2399 0.7761
```



This entry pairs a crystal structure of RbLiMg6 with its calculated powder diffraction line list. Radiation: Cu Kα, 1.54184 Å. Structure: a cell relaxed with PBE.
Intensities are scaled so that the largest is 100.

Top 12 peaks for 2θ from 5° to 70°, most intense first:
Position (°2θ)	I/Imax
35.4	100
31.2	81
23.0	61
15.2	53
30.7	47
29.5	44
34.6	40
47.0	28
23.8	21
66.8	16
21.5	16
52.1	15

Cell and atoms:
```
RbLiMg6
1.0
5.1836 0.0000 0.0000
0.0000 3.2097 6.8853
0.0000 -3.2097 6.8853
Rb Li Mg
1 1 6
Direct
0.0000 0.0000 0.0000
0.0000 0.4191 0.4191
0.0000 0.4955 0.9698
0.0000 0.9698 0.4955
0.5000 0.1118 0.6090
0.5000 0.1725 0.1725
0.5000 0.6090 0.1118
0.5000 0.6125 0.6125
```



This entry pairs a crystal structure of ErHfBe17 with its calculated powder diffraction line list. Radiation: Cu Kα, 1.54184 Å. Structure: a cell relaxed with PBE.
Intensities are scaled so that the largest is 100.

Top 12 peaks for 2θ from 5° to 70°, most intense first:
Position (°2θ)	I/Imax
23.5	100
33.9	91
15.7	63
48.4	42
24.2	31
41.3	30
21.0	26
48.0	23
28.4	20
37.2	19
55.5	17
54.5	16

Cell and atoms:
```
ErHfBe17
1.0
3.7879 2.1869 3.6836
-3.7879 2.1869 3.6836
0.0000 -4.3739 3.6836
Er Hf Be
1 1 17
Direct
0.0000 0.0000 0.0000
0.6759 0.6759 0.6759
0.0535 0.3402 0.6225
0.0535 0.6225 0.3402
0.1817 0.6784 0.6784
0.2447 0.2447 0.2447
0.3402 0.0535 0.6225
0.3402 0.6225 0.0535
0.3421 0.3421 0.8372
0.3421 0.8372 0.3421
0.4370 0.4370 0.4370
0.4984 0.9967 0.9967
0.6225 0.0535 0.3402
0.6225 0.3402 0.0535
0.6784 0.1817 0.6784
0.6784 0.6784 0.1817
0.8372 0.3421 0.3421
0.9967 0.4984 0.9967
0.9967 0.9967 0.4984
```



This entry pairs a crystal structure of SrCd2In2Hg2 with its calculated powder diffraction line list. Radiation: Cu Kα, 1.54184 Å. Structure: a cell relaxed with PBE.
Intensities are scaled so that the largest is 100.

Top 12 peaks for 2θ from 5° to 70°, most intense first:
Position (°2θ)	I/Imax
31.2	100
36.1	84
48.5	29
61.9	28
64.9	15
21.7	14
52.2	12
19.9	10
41.5	9
33.9	7
24.5	7
64.1	6

Cell and atoms:
```
SrCd2In2Hg2
1.0
4.3117 -2.4888 0.0000
4.3117 2.4888 0.0000
-2.8775 0.0000 8.9415
Sr Cd In Hg
1 2 2 2
Direct
0.0000 0.0000 0.0000
0.4278 0.4278 0.2821
0.5722 0.5722 0.7179
0.1434 0.1434 0.4281
0.8566 0.8566 0.5719
0.2690 0.2690 0.8095
0.7310 0.7310 0.1905
```



This entry pairs a crystal structure of DyEr2Tl3Se6 with its calculated powder diffraction line list. Radiation: Cu Kα, 1.54184 Å. Structure: a cell relaxed with PBE.
Intensities are scaled so that the largest is 100.

Top 12 peaks for 2θ from 5° to 70°, most intense first:
Position (°2θ)	I/Imax
29.1	100
39.7	38
43.5	35
25.9	22
53.2	19
65.7	14
22.9	12
60.4	11
49.7	10
46.4	8
46.7	6
61.3	5

Cell and atoms:
```
DyEr2Tl3Se6
1.0
3.6060 -6.2459 0.0000
3.6060 6.2459 0.0000
-2.4041 0.0000 7.7774
Dy Er Tl Se
1 2 3 6
Direct
0.0000 0.0000 0.0000
0.3333 0.6667 0.0000
0.6667 0.3333 0.0000
0.1664 0.8336 0.5000
0.5000 0.5000 0.5000
0.8336 0.1664 0.5000
0.0677 0.4031 0.2030
0.2678 0.2678 0.7974
0.4031 0.0677 0.2030
0.5969 0.9323 0.7970
0.7322 0.7322 0.2026
0.9323 0.5969 0.7970
```



This entry pairs a crystal structure of La8Tb4Th with its calculated powder diffraction line list. Radiation: Cu Kα, 1.54184 Å. Structure: a cell relaxed with PBE.
Intensities are scaled so that the largest is 100.

Top 12 peaks for 2θ from 5° to 70°, most intense first:
Position (°2θ)	I/Imax
30.1	100
37.8	39
22.4	25
27.0	21
53.4	20
55.6	18
34.8	13
62.5	12
34.5	11
58.6	11
38.0	10
46.4	10

Cell and atoms:
```
La8Tb4Th
1.0
5.9429 3.4311 3.9744
-5.9429 3.4311 3.9744
0.0000 -6.8623 3.9744
La Tb Th
8 4 1
Direct
0.1733 0.1733 0.6726
0.1733 0.6726 0.1733
0.2402 0.2402 0.2402
0.3274 0.8267 0.8267
0.6726 0.1733 0.1733
0.7598 0.7598 0.7598
0.8267 0.3274 0.8267
0.8267 0.8267 0.3274
0.0000 0.0000 0.0000
0.0000 0.5000 0.5000
0.5000 0.0000 0.5000
0.5000 0.5000 0.0000
0.5000 0.5000 0.5000
```



This entry pairs a crystal structure of Y2RhCl2 with its calculated powder diffraction line list. Radiation: Cu Kα, 1.54184 Å. Structure: a cell relaxed with PBE.
Intensities are scaled so that the largest is 100.

Top 12 peaks for 2θ from 5° to 70°, most intense first:
Position (°2θ)	I/Imax
8.2	100
33.1	30
28.9	22
46.8	17
32.6	16
47.5	12
40.5	11
28.5	9
41.2	6
58.2	6
48.3	4
47.4	4

Cell and atoms:
```
Y2RhCl2
1.0
3.3639 -1.9423 0.0000
3.3639 1.9423 0.0000
-2.4745 0.0000 10.7761
Y Rh Cl
2 1 2
Direct
0.2237 0.2237 0.1552
0.7763 0.7763 0.8448
0.5000 0.5000 0.0000
0.0503 0.0503 0.6834
0.9497 0.9497 0.3166
```